The following is a simulated powder diffraction line list of UP2S7. It was derived from a structure optimized by DFT (PBE), using λ = 1.5418 Å (Cu Kα).
No peak broadening, texture or thermal motion is included.

Peak list (8 most intense, 5° ≤ 2θ ≤ 70°, low angle first)
2θ = 11.6°, d 7.643, I = 100
2θ = 18.3°, d 4.836, I = 22
2θ = 24.6°, d 3.616, I = 9
2θ = 25.4°, d 3.506, I = 18
2θ = 25.9°, d 3.439, I = 11
2θ = 33.0°, d 2.711, I = 30
2θ = 35.2°, d 2.550, I = 13
2θ = 46.0°, d 1.973, I = 9

Structure:
Unit cell a=17.134 b=15.980 c=8.966 alpha=81.54 beta=67.29 gamma=31.17
Element x y z (fractional)
U1 0.014 0.014 0.236
U2 0.236 0.236 0.014
U3 0.764 0.764 0.986
U4 0.986 0.986 0.764
P1 0.006 0.631 0.130
P2 0.130 0.733 0.006
P3 0.267 0.870 0.369
P4 0.369 0.994 0.267
P5 0.631 0.006 0.733
P6 0.733 0.130 0.631
P7 0.870 0.267 0.994
P8 0.994 0.369 0.870
S1 0.003 0.886 0.486
S2 0.022 0.518 0.291
S3 0.114 0.997 0.874
S4 0.118 0.233 0.331
S5 0.125 0.486 0.885
S6 0.150 0.600 0.150
S7 0.181 0.669 0.767
S8 0.233 0.118 0.819
S9 0.291 0.669 0.022
S10 0.331 0.709 0.482
S11 0.331 0.819 0.118
S12 0.400 0.850 0.400
S13 0.482 0.978 0.331
S14 0.486 0.126 0.003
S15 0.514 0.874 0.997
S16 0.518 0.022 0.669
S17 0.600 0.150 0.600
S18 0.669 0.181 0.882
S19 0.669 0.291 0.518
S20 0.709 0.331 0.978
S21 0.767 0.882 0.181
S22 0.819 0.331 0.233
S23 0.850 0.400 0.850
S24 0.874 0.514 0.114
S25 0.882 0.767 0.669
S26 0.885 0.003 0.125
S27 0.978 0.482 0.709
S28 0.997 0.114 0.514

***

The following is a simulated powder diffraction line list of CaReH4ClO6. It was derived from a structure optimized by DFT (PBE), using λ = 1.5418 Å (Cu Kα).
No peak broadening, texture or thermal motion is included.

Peak list (8 most intense, 5° ≤ 2θ ≤ 70°, low angle first)
2θ = 12.4°, d 7.160, I = 44
2θ = 19.2°, d 4.621, I = 59
2θ = 25.5°, d 3.487, I = 18
2θ = 26.1°, d 3.414, I = 100
2θ = 28.5°, d 3.135, I = 20
2θ = 28.9°, d 3.085, I = 20
2θ = 36.4°, d 2.471, I = 18
2θ = 46.0°, d 1.972, I = 25

Structure:
Unit cell a=7.964 b=7.964 c=6.838 alpha=90.00 beta=90.00 gamma=128.07
Element x y z (fractional)
Ca1 0.088 0.912 0.750
Ca2 0.912 0.088 0.250
Re1 0.252 0.748 0.250
Re2 0.748 0.252 0.750
H1 0.261 0.353 0.563
H2 0.261 0.353 0.937
H3 0.353 0.261 0.063
H4 0.353 0.261 0.437
H5 0.647 0.739 0.563
H6 0.647 0.739 0.937
H7 0.739 0.647 0.063
H8 0.739 0.647 0.437
Cl1 0.381 0.619 0.750
Cl2 0.619 0.381 0.250
O1 0.121 0.473 0.250
O2 0.179 0.821 0.044
O3 0.179 0.821 0.456
O4 0.218 0.218 0.000
O5 0.218 0.218 0.500
O6 0.473 0.121 0.750
O7 0.527 0.879 0.250
O8 0.782 0.782 0.000
O9 0.782 0.782 0.500
O10 0.821 0.179 0.544
O11 0.821 0.179 0.956
O12 0.879 0.527 0.750

***

> Number 2 is which compound?

CaReH4ClO6